# 1
# Y3Al2Ni6
Computed X-ray diffraction stick pattern, CuKα. Input: a DFT-relaxed cell (PBE, the Materials Project).
Kinematic intensities with the Lorentz-polarization factor, no thermal factor.

Structure:
```
22
Lattice="-4.463 4.463 4.463 4.463 -4.463 4.463 4.463 4.463 -4.463" Properties=species:S:1:pos:R:3 pbc="T T T"
Y 2.607 0.000 0.000
Y 6.318 0.000 0.000
Y 0.000 2.607 0.000
Y 0.000 0.000 2.607
Y 0.000 6.318 0.000
Y 0.000 0.000 6.318
Al 2.231 2.231 -2.231
Al 2.231 -2.231 2.231
Al -2.231 2.231 2.231
Al 2.231 2.231 2.231
Ni 0.000 5.944 2.982
Ni 0.000 2.982 5.944
Ni 4.463 1.481 1.481
Ni 1.481 4.463 -1.481
Ni 2.982 2.982 0.000
Ni 1.481 -1.481 4.463
Ni 2.982 0.000 2.982
Ni 2.982 0.000 5.944
Ni 1.481 4.463 1.481
Ni 2.982 5.944 0.000
Ni 1.481 1.481 4.463
Ni 0.000 2.982 2.982
```

Most intense lines, 10° ≤ 2θ ≤ 90°, low angle first:
2theta	I (rel.)
14.0	13
31.7	21
34.8	12
37.7	27
40.4	12
43.0	100
62.4	11
64.3	14
69.9	11
78.8	24


# 2
# FeCoSn2
Computed X-ray diffraction stick pattern, CuKα. Input: a DFT-relaxed cell (PBE, the Materials Project).
Kinematic intensities with the Lorentz-polarization factor, no thermal factor.

Structure:
```
12
Lattice="5.168 0.000 0.000 0.000 4.334 0.000 -0.073 0.000 9.391" Properties=species:S:1:pos:R:3 pbc="T T T"
Fe 0.000 0.000 0.000
Fe -0.036 0.000 4.696
Fe 2.584 0.000 0.000
Co 1.219 0.000 7.039
Co 2.548 0.000 4.696
Co 3.877 0.000 2.352
Sn 1.221 2.167 8.567
Sn 1.255 2.167 5.511
Sn 1.292 0.000 2.353
Sn 3.804 0.000 7.038
Sn 3.840 2.167 3.880
Sn 3.875 2.167 0.825
```

Most intense lines, 10° ≤ 2θ ≤ 90°, low angle first:
2theta	I (rel.)
28.0	46
28.5	100
33.3	44
33.6	44
34.7	41
39.7	31
41.7	79
43.9	90
45.1	73
45.3	70


# 3
# HfAgB
Computed X-ray diffraction stick pattern, CuKα. Input: a DFT-relaxed cell (PBE, the Materials Project).
Kinematic intensities with the Lorentz-polarization factor, no thermal factor.

Structure:
```
3
Lattice="0.000 3.020 3.020 3.020 0.000 3.020 3.020 3.020 0.000" Properties=species:S:1:pos:R:3 pbc="T T T"
Hf 0.000 0.000 0.000
Ag 4.530 4.530 4.530
B 1.510 1.510 1.510
```

Most intense lines, 10° ≤ 2θ ≤ 90°, low angle first:
2theta	I (rel.)
25.5	100
29.6	4
42.3	82
50.1	48
52.5	1
61.4	13
67.6	20
69.6	2
77.4	27
83.1	15